(1)
Structure and calculated PXRD pattern of Pr3Si4Ni (a DFT-relaxed cell (PBE, OQMD); copper Kα).
Peak positions follow from Bragg's law for the DFT cell and can differ from measured ones.

The 12 most intense peaks (2θ = 10–90°), in order of falling intensity:
27.79 deg, I 100
34.35 deg, I 83
35.43 deg, I 56
23.19 deg, I 44
32.89 deg, I 43
38.54 deg, I 40
30.89 deg, I 38
56.99 deg, I 33
30.50 deg, I 33
46.99 deg, I 32
31.39 deg, I 28
31.06 deg, I 25

Structure:
```
Pr3Si4Ni
1.0
5.8798 0.0000 0.0000
0.0000 3.8676 0.0000
-1.5790 0.0000 7.6709
Pr Si Ni
3 4 1
direct
0.0000 0.0000 0.0000 Pr
0.1373 0.0000 0.4665 Pr
0.6620 0.5000 0.6049 Pr
0.1957 0.5000 0.7684 Si
0.4691 0.0000 0.8407 Si
0.5583 0.0000 0.2429 Si
0.8208 0.5000 0.2469 Si
0.4976 0.5000 0.0251 Ni
```

***

(2)
Structure and calculated PXRD pattern of Pr2Si5Ni3 (a DFT-relaxed cell (PBE, OQMD); copper Kα).
Peak positions follow from Bragg's law for the DFT cell and can differ from measured ones.

The 12 most intense peaks (2θ = 10–90°), in order of falling intensity:
35.50 deg, I 100
44.58 deg, I 57
36.21 deg, I 51
36.48 deg, I 49
23.74 deg, I 38
52.30 deg, I 26
58.05 deg, I 23
30.96 deg, I 22
58.43 deg, I 22
31.27 deg, I 20
76.45 deg, I 11
70.94 deg, I 10

Structure:
```
Pr2Si5Ni3
1.0
-4.8442 5.7209 2.8887
4.8442 -5.7209 2.8887
4.8442 5.7209 -2.8887
Pr Si Ni
4 10 6
direct
0.1301 0.2391 0.3691 Pr
0.3699 0.7391 0.1090 Pr
0.6301 0.2609 0.8910 Pr
0.8699 0.7609 0.6309 Pr
0.0126 0.7500 0.2626 Si
0.1092 0.6463 0.7555 Si
0.2500 0.2500 0.0000 Si
0.3908 0.1463 0.5371 Si
0.4874 0.7500 0.7374 Si
0.5126 0.2500 0.2626 Si
0.6092 0.8537 0.4629 Si
0.7500 0.7500 0.0000 Si
0.8908 0.3537 0.2445 Si
0.9874 0.2500 0.7374 Si
0.1325 0.8892 0.0216 Ni
0.2500 0.7500 0.5000 Ni
0.3675 0.3892 0.7567 Ni
0.6325 0.6108 0.2433 Ni
0.7500 0.2500 0.5000 Ni
0.8675 0.1108 0.9784 Ni
```